For Li7CuAs4ClO14, a cell relaxed with PBE gives the calculated XRD peak list in this record (Cu Kα (weighted mean of Kα1 and Kα2)).
Neutral-atom scattering factors, no anomalous dispersion.

Top 10 peaks for 5 to 70 degrees two-theta, most intense first:
Position (°2θ)	I/Imax
30.50	100
13.56	96
31.70	73
11.73	66
35.24	66
21.74	55
17.40	53
29.68	53
18.51	52
20.05	37

Cell and atoms:
```
data_Li7CuAs4ClO14
_space_group_name_H-M_alt 'C 1 c 1'
_space_group_IT_number 9
_cell_length_a 10.2520
_cell_length_b 8.4937
_cell_length_c 15.1580
_cell_angle_alpha 90.00
_cell_angle_beta 95.53
_cell_angle_gamma 90.00
loop_
_space_group_symop_operation_xyz
'x,y,z'
'x,-y,z+1/2'
'x+1/2,y+1/2,z'
'x+1/2,-y+1/2,z+1/2'
loop_
_atom_site_label
_atom_site_type_symbol
_atom_site_fract_x
_atom_site_fract_y
_atom_site_fract_z
_atom_site_occupancy
Li1 Li 0.0000 0.0593 0.0000 1
Li2 Li 0.1108 0.4249 0.8133 1
Li3 Li 0.1667 0.2089 0.4861 1
Li4 Li 0.2790 0.2901 0.9893 1
Li5 Li 0.2961 0.4106 0.6503 1
Li6 Li 0.3390 0.2597 0.3043 1
Li7 Li 0.4258 0.2691 0.8351 1
Cu1 Cu 0.2917 0.0043 0.6487 1
As1 As 0.0043 0.1916 0.6515 1
As2 As 0.0919 0.3139 0.1536 1
As3 As 0.1489 0.0543 0.8257 1
As4 As 0.4611 0.0158 0.4788 1
Cl1 Cl 0.2762 0.4256 0.4240 1
O1 O 0.0006 0.0825 0.7536 1
O2 O 0.0823 0.0491 0.4052 1
O3 O 0.0875 0.4653 0.0675 1
O4 O 0.1403 0.1645 0.0874 1
O5 O 0.1649 0.2020 0.6273 1
O6 O 0.2039 0.4094 0.2254 1
O7 O 0.2233 0.2314 0.8491 1
O8 O 0.2446 0.0617 0.2661 1
O9 O 0.3192 0.0564 0.5264 1
O10 O 0.4026 0.4174 0.0805 1
O11 O 0.4481 0.2267 0.6983 1
O12 O 0.4499 0.1337 0.1893 1
O13 O 0.4712 0.1789 0.9533 1
O14 O 0.4821 0.1431 0.3957 1
```